KLiAl2Si4O10F2: calculated X-ray diffraction stick pattern (Cu Kα (λ = 1.5418 Å)), based on a cell relaxed with GGA-PBE.
Intensities are scaled so that the largest is 100.

Structural model:
Lattice parameters (Å, degrees): 5.3366 9.2359 10.3919 90.00 100.92 90.00
Space group C2/m (No. 12)
Unique sites:
K  0.0000  0.0000  0.0000 x2
Li  0.0000  0.5000  0.5000 x2
Al  0.0000  0.1698  0.5000 x4
Si  0.0811  0.3315  0.2313 x8
O  0.0454  0.5000  0.1748 x4
O  0.1440  0.3186  0.3963 x8
O  0.1856  0.2440  0.8317 x8
F  0.1137  0.0000  0.4084 x4

Peak list (10 most intense, 2θ = 10–90°, low angle first)
| Position (°2θ) | I (rel.) | h k l |
| --- | --- | --- |
| 19.2 | 41 | 0 2 0 |
| 23.9 | 92 | 1 1 -2 |
| 26.0 | 48 | 0 2 2 |
| 26.2 | 43 | 0 0 3 |
| 28.3 | 100 | 1 1 2 |
| 30.1 | 34 | 1 1 -3 |
| 34.1 | 46 | 1 3 -1 |
| 36.6 | 36 | 1 3 -2 |
| 54.0 | 38 | 1 3 -5 |
| 60.1 | 38 | 3 3 -1 |